Starting from a GGA-PBE-relaxed structure, the X-ray diffraction stick pattern of PrTm3S6 was simulated for Cu Kα (weighted mean of Kα1 and Kα2).
Kinematic intensities with the Lorentz-polarization factor, no thermal factor.

```
data_PrTm3S6
_chemical_formula_sum 'Pr2 Tm6 S12'
_space_group_name_H-M_alt 'P 1 21/m 1'
_space_group_IT_number 11
_space_group_name_Hall '-P 2yb'
_cell_length_a 11.0447
_cell_length_b 3.9660
_cell_length_c 11.2635
_cell_angle_alpha 90.00
_cell_angle_beta 108.91
_cell_angle_gamma 90.00
loop_
_atom_site_label
_atom_site_type_symbol
_atom_site_fract_x
_atom_site_fract_y
_atom_site_fract_z
_atom_site_occupancy
Pr1 Pr 0.0496 0.2500 0.1953 1
Tm1 Tm 0.1611 0.2500 0.5867 1
Tm2 Tm 0.3202 0.7500 0.9988 1
Tm3 Tm 0.4409 0.2500 0.3332 1
S1 S 0.0813 0.7500 0.4069 1
S2 S 0.1201 0.2500 0.9639 1
S3 S 0.1963 0.7500 0.7485 1
S4 S 0.2666 0.7500 0.2287 1
S5 S 0.3946 0.2500 0.5593 1
S6 S 0.4777 0.2500 0.1120 1
```

The 6 most intense peaks (2θ = 5–70°), by angle:
d [Å]  2θ (°)  intensity
3.754  23.70  77
3.682  24.17  100
3.383  26.34  67
2.879  31.07  69
2.617  34.27  51
2.134  42.36  74